(1)
The following is a theoretical XRD peak list of Ta2TcOs. It was derived from a PBE-relaxed structure, using Cu Ka.
Lines closer than 0.1° are merged.

Crystal structure
```
Ta2TcOs
1.0
2.810 0.000 0.000
0.000 2.810 0.000
0.000 0.000 8.369
Ta Tc Os
2 1 1
Direct
0.000 0.000 0.000
0.500 0.500 0.280
0.000 0.000 0.543
0.500 0.500 0.747
```

The 10 most intense peaks (2θ from 10° to 90°), most intense first:
2θ (°)	Rel. int.
38.59	100
45.66	33
79.66	25
64.69	19
43.24	15
66.55	11
82.74	10
76.20	9
64.83	6
33.64	5

---

(2)
The following is a theoretical XRD peak list of YTa7O19. It was derived from a PBE-relaxed structure, using Cu Ka.
Lines closer than 0.1° are merged.

Crystal structure
```
YTa7O19
1.0
6.270 0.000 0.000
-3.135 5.430 0.000
0.000 0.000 20.088
Y Ta O
2 14 38
Direct
0.000 0.000 0.000
0.000 0.000 0.500
0.334 0.026 0.156
0.334 0.026 0.344
0.334 0.308 0.656
0.334 0.308 0.844
0.667 0.333 0.000
0.667 0.333 0.500
0.692 0.026 0.656
0.692 0.026 0.844
0.692 0.666 0.156
0.692 0.666 0.344
0.974 0.308 0.156
0.974 0.308 0.344
0.974 0.666 0.656
0.974 0.666 0.844
0.000 0.000 0.132
0.000 0.000 0.368
0.000 0.000 0.632
0.000 0.000 0.868
0.088 0.421 0.653
0.088 0.421 0.847
0.088 0.666 0.153
0.088 0.666 0.347
0.292 0.043 0.250
0.292 0.249 0.750
0.334 0.421 0.153
0.334 0.421 0.347
0.334 0.912 0.653
0.334 0.912 0.847
0.378 0.097 0.056
0.378 0.097 0.444
0.378 0.281 0.556
0.378 0.281 0.944
0.579 0.666 0.653
0.579 0.666 0.847
0.579 0.912 0.153
0.579 0.912 0.347
0.667 0.333 0.166
0.667 0.333 0.334
0.667 0.333 0.666
0.667 0.333 0.834
0.719 0.097 0.556
0.719 0.097 0.944
0.719 0.622 0.056
0.719 0.622 0.444
0.751 0.043 0.750
0.751 0.708 0.250
0.903 0.281 0.056
0.903 0.281 0.444
0.903 0.622 0.556
0.903 0.622 0.944
0.957 0.249 0.250
0.957 0.708 0.750
```

The 10 most intense peaks (2θ from 10° to 90°), most intense first:
2θ (°)	Rel. int.
28.82	100
26.62	59
36.35	51
33.70	41
50.41	37
57.91	36
29.85	32
17.66	31
16.32	27
54.23	20

---

(3)
The following is a theoretical XRD peak list of Sr2Li9Mg3. It was derived from a PBE-relaxed structure, using Cu Ka.
Lines closer than 0.1° are merged.

Crystal structure
```
Sr2Li9Mg3
1.0
7.552 -4.567 0.000
7.552 4.567 0.000
0.000 0.000 10.303
Sr Li Mg
4 18 6
Direct
0.015 0.682 0.750
0.318 0.985 0.750
0.682 0.015 0.250
0.985 0.318 0.250
0.023 0.655 0.090
0.023 0.655 0.410
0.169 0.831 0.250
0.345 0.977 0.090
0.345 0.977 0.410
0.346 0.654 0.511
0.346 0.654 0.989
0.359 0.450 0.250
0.450 0.359 0.750
0.550 0.641 0.250
0.641 0.550 0.750
0.654 0.346 0.011
0.654 0.346 0.489
0.655 0.023 0.590
0.655 0.023 0.910
0.831 0.169 0.750
0.977 0.345 0.590
0.977 0.345 0.910
0.000 0.000 0.000
0.000 0.000 0.500
0.312 0.312 0.000
0.312 0.312 0.500
0.688 0.688 0.000
0.688 0.688 0.500
```

The 10 most intense peaks (2θ from 10° to 90°), most intense first:
2θ (°)	Rel. int.
21.93	100
14.22	79
26.61	66
34.42	58
21.28	58
34.78	57
33.06	53
26.07	38
29.33	37
49.78	31

---

(4)
The following is a theoretical XRD peak list of Nd3Dy3Er2. It was derived from a PBE-relaxed structure, using Cu Ka.
Lines closer than 0.1° are merged.

Crystal structure
```
Nd3Dy3Er2
1.0
5.066 0.000 0.000
0.000 5.074 0.000
0.000 0.000 20.277
Nd Dy Er
6 6 4
Direct
0.000 0.000 0.000
0.000 0.500 0.126
0.000 0.500 0.874
0.500 0.000 0.374
0.500 0.000 0.626
0.500 0.500 0.500
0.000 0.000 0.500
0.000 0.500 0.373
0.000 0.500 0.627
0.500 0.000 0.127
0.500 0.000 0.873
0.500 0.500 0.000
0.000 0.000 0.249
0.000 0.000 0.751
0.500 0.500 0.251
0.500 0.500 0.749
```

The 10 most intense peaks (2θ from 10° to 90°), most intense first:
2θ (°)	Rel. int.
30.54	100
35.41	51
60.58	43
50.95	36
83.04	18
63.58	12
85.67	11
85.75	6
74.90	4
74.99	2

---

(5)
The following is a theoretical XRD peak list of MnIn2BiTe4. It was derived from a PBE-relaxed structure, using Cu Ka.
Lines closer than 0.1° are merged.

Crystal structure
```
MnIn2BiTe4
1.0
8.434 0.000 0.000
0.000 8.434 0.000
0.000 0.000 7.175
Mn In Bi Te
2 4 2 8
Direct
0.000 0.000 0.000
0.500 0.500 0.500
0.000 0.500 0.000
0.000 0.500 0.500
0.500 0.000 0.000
0.500 0.000 0.500
0.000 0.000 0.500
0.500 0.500 0.000
0.187 0.187 0.788
0.187 0.813 0.212
0.313 0.313 0.288
0.313 0.687 0.712
0.687 0.313 0.712
0.687 0.687 0.288
0.813 0.187 0.212
0.813 0.813 0.788
```

The 10 most intense peaks (2θ from 10° to 90°), most intense first:
2θ (°)	Rel. int.
32.78	100
26.70	70
29.97	53
46.15	26
55.01	19
76.16	14
48.26	13
60.21	12
50.19	12
68.06	11

---

(6)
The following is a theoretical XRD peak list of KCe2RuO8. It was derived from a PBE-relaxed structure, using Cu Ka.
Lines closer than 0.1° are merged.

Crystal structure
```
KCe2RuO8
1.0
5.002 0.000 0.000
0.013 5.191 0.000
0.015 0.004 7.131
K Ce Ru O
1 2 1 8
Direct
0.000 0.000 0.000
0.499 0.500 0.247
0.501 0.500 0.753
0.000 0.000 0.500
0.200 0.830 0.683
0.201 0.831 0.316
0.272 0.293 0.500
0.297 0.370 0.000
0.703 0.630 0.000
0.728 0.707 0.500
0.799 0.169 0.684
0.800 0.170 0.317
```

The 10 most intense peaks (2θ from 10° to 90°), most intense first:
2θ (°)	Rel. int.
24.72	100
30.79	45
30.41	40
47.72	27
46.94	25
34.56	13
57.68	12
59.37	11
35.40	10
17.08	10

---

(7)
The following is a theoretical XRD peak list of Nb2V3Si4. It was derived from a PBE-relaxed structure, using Cu Ka.
Lines closer than 0.1° are merged.

Crystal structure
```
Nb2V3Si4
1.0
6.500 0.000 0.000
0.000 6.506 0.000
-2.152 0.000 6.035
Nb V Si
4 6 8
Direct
0.189 0.170 0.058
0.189 0.330 0.558
0.811 0.670 0.442
0.811 0.830 0.942
0.252 0.673 0.246
0.252 0.827 0.746
0.500 0.000 0.500
0.500 0.500 0.000
0.748 0.173 0.254
0.748 0.327 0.754
0.077 0.540 0.854
0.077 0.960 0.354
0.494 0.130 0.867
0.494 0.370 0.367
0.506 0.630 0.633
0.506 0.870 0.133
0.923 0.040 0.646
0.923 0.460 0.146
```

The 10 most intense peaks (2θ from 10° to 90°), most intense first:
2θ (°)	Rel. int.
44.41	100
36.74	84
39.96	78
39.52	76
39.74	52
44.66	46
40.46	35
32.33	34
31.47	20
19.91	19